No. 1
# AlV4N3
Computed powder diffractogram, copper Kα. Input: a cell relaxed with GGA-PBE.
Peak positions follow from Bragg's law for the DFT cell and can differ from measured ones.

Crystal structure
a = 2.7987 Å, b = 2.7987 Å, c = 23.7640 Å
α = 90.00°, β = 90.00°, γ = 120.00°
Space group P6_3/mmc (No. 194)
Asymmetric unit:
Al: 0.3333 0.6667 0.2500 [2 per cell]
V: 0.3333 0.6667 0.0546 [4 per cell]
V: 0.3333 0.6667 0.6599 [4 per cell]
N: 0.0000 0.0000 0.0000 [2 per cell]
N: 0.0000 0.0000 0.1085 [4 per cell]

Peak list (10 most intense, 2θ from 10° to 90°, by intensity)
| 2θ (°) | I/Imax |
| --- | --- |
| 41.84 | 100 |
| 54.04 | 22 |
| 66.86 | 20 |
| 37.86 | 18 |
| 82.07 | 12 |
| 71.09 | 12 |
| 79.48 | 11 |
| 37.09 | 11 |
| 48.47 | 8 |
| 63.77 | 7 |


No. 2
# AlWN3
Computed powder diffractogram, copper Kα. Input: a cell relaxed with GGA-PBE.
Peak positions follow from Bragg's law for the DFT cell and can differ from measured ones.

Crystal structure
a = 5.5364 Å, b = 6.0413 Å, c = 10.2738 Å
α = 82.53°, β = 82.07°, γ = 87.78°
Space group P-1 (No. 2)
Asymmetric unit:
Al: 0.1392 0.4195 0.1806 [2 per cell]
Al: 0.3450 0.7584 0.9164 [2 per cell]
W: 0.2021 0.2733 0.8871 [2 per cell]
W: 0.4954 0.0858 0.3692 [2 per cell]
N: 0.1369 0.7318 0.0792 [2 per cell]
N: 0.2113 0.5727 0.8070 [2 per cell]
N: 0.2814 0.3017 0.3216 [2 per cell]
N: 0.3324 0.2847 0.0433 [2 per cell]
N: 0.3367 0.8605 0.4878 [2 per cell]
N: 0.3399 0.0303 0.7972 [2 per cell]

Peak list (10 most intense, 2θ from 10° to 90°, by intensity)
| 2θ (°) | I/Imax |
| --- | --- |
| 21.74 | 100 |
| 17.34 | 97 |
| 24.03 | 62 |
| 16.20 | 60 |
| 21.55 | 52 |
| 30.04 | 37 |
| 24.45 | 34 |
| 35.24 | 31 |
| 18.15 | 29 |
| 33.05 | 28 |


No. 3
# Al6W5N16
Computed powder diffractogram, copper Kα. Input: a cell relaxed with GGA-PBE.
Peak positions follow from Bragg's law for the DFT cell and can differ from measured ones.

Crystal structure
a = 9.0752 Å, b = 9.0752 Å, c = 9.0752 Å
α = 90.00°, β = 90.00°, γ = 90.00°
Space group I-43m (No. 217)
Asymmetric unit:
Al: 0.0000 0.2500 0.5000 [12 per cell]
W: 0.0000 0.0000 0.0000 [2 per cell]
W: 0.2371 0.2371 0.7629 [8 per cell]
N: 0.1039 0.3501 0.6499 [24 per cell]
N: 0.1185 0.1185 0.8814 [8 per cell]

Peak list (10 most intense, 2θ from 10° to 90°, by intensity)
| 2θ (°) | I/Imax |
| --- | --- |
| 27.80 | 100 |
| 19.56 | 42 |
| 49.18 | 40 |
| 24.02 | 35 |
| 34.23 | 28 |
| 57.44 | 25 |
| 39.73 | 21 |
| 37.07 | 18 |
| 78.94 | 17 |
| 64.99 | 16 |


No. 4
# ZrAl3N4
Computed powder diffractogram, copper Kα. Input: a cell relaxed with GGA-PBE.
Peak positions follow from Bragg's law for the DFT cell and can differ from measured ones.

Crystal structure
a = 2.9465 Å, b = 4.3209 Å, c = 6.1034 Å
α = 90.00°, β = 90.00°, γ = 90.00°
Space group Pmmm (No. 47)
Asymmetric unit:
Zr: 0.0000 0.0000 0.0000 [1 per cell]
Al: 0.0000 0.0000 0.5000 [1 per cell]
Al: 0.5000 0.5000 0.2646 [2 per cell]
N: 0.0000 0.5000 0.0000 [1 per cell]
N: 0.0000 0.5000 0.5000 [1 per cell]
N: 0.5000 0.0000 0.2818 [2 per cell]

Peak list (10 most intense, 2θ from 10° to 90°, by intensity)
| 2θ (°) | I/Imax |
| --- | --- |
| 42.65 | 100 |
| 61.26 | 62 |
| 41.81 | 55 |
| 36.03 | 49 |
| 36.93 | 45 |
| 14.51 | 45 |
| 25.25 | 36 |
| 20.55 | 30 |
| 33.78 | 23 |
| 73.18 | 22 |